Entry 1:
Starting from a DFT-relaxed cell (GGA-PBE, Alexandria), the powder X-ray diffraction pattern of Rb2CaSe2 was calculated for Cu Kα (λ = 1.5418 Å).

Peak list (10 most intense, 2θ from 10° to 90°, in order of falling intensity)
2θ = 26.25°, I = 100; 2θ = 24.38°, I = 52; 2θ = 36.09°, I = 46; 2θ = 31.10°, I = 29; 2θ = 38.35°, I = 29; 2θ = 22.55°, I = 27; 2θ = 33.25°, I = 23; 2θ = 32.29°, I = 21; 2θ = 42.05°, I = 18; 2θ = 44.08°, I = 17

Crystal structure
Cell: 8.6909 8.6909 8.6909 Å, 125.30 77.00 130.32°
Positions (direct):
Rb: 0.1479 0.1367 0.2846
Rb: 0.3521 0.6367 0.9888
Rb: 0.6479 0.3633 0.0112
Rb: 0.8521 0.8633 0.7154
Ca: 0.2500 0.7500 0.5000
Ca: 0.7500 0.2500 0.5000
Se: 0.1040 0.7084 0.8124
Se: 0.3960 0.2084 0.6044
Se: 0.6040 0.7916 0.3956
Se: 0.8960 0.2916 0.1876

---

Entry 2:
Starting from a DFT-relaxed cell (GGA-PBE, Alexandria), the powder X-ray diffraction pattern of Rb2CaUSe6 was calculated for Cu Kα (λ = 1.5418 Å).

Peak list (10 most intense, 2θ from 10° to 90°, in order of falling intensity)
2θ = 32.33°, I = 100; 2θ = 46.37°, I = 71; 2θ = 13.85°, I = 51; 2θ = 22.71°, I = 47; 2θ = 16.00°, I = 43; 2θ = 27.90°, I = 34; 2θ = 76.99°, I = 26; 2θ = 57.66°, I = 25; 2θ = 26.69°, I = 23; 2θ = 36.27°, I = 22

Crystal structure
Cell: 7.8307 7.8387 13.5534 Å, 90.00 125.25 90.00°
Positions (direct):
Rb: 0.2499 0.0003 0.2502
Rb: 0.2499 0.4997 0.7502
Rb: 0.7501 0.9997 0.7498
Rb: 0.7501 0.5003 0.2498
Ca: 0.0000 0.0000 0.5000
Ca: 0.0000 0.5000 0.0000
U: 0.5000 0.0000 0.0000
U: 0.5000 0.5000 0.5000
Se: 0.2589 0.2394 0.0000
Se: 0.2589 0.2606 0.5000
Se: 0.2599 0.0004 0.7594
Se: 0.2599 0.4996 0.2594
Se: 0.2603 0.7410 0.4998
Se: 0.2603 0.7590 0.9998
Se: 0.7401 0.9996 0.2406
Se: 0.7397 0.2410 0.0002
Se: 0.7397 0.2590 0.5002
Se: 0.7401 0.5004 0.7406
Se: 0.7411 0.7394 0.5000
Se: 0.7411 0.7606 0.0000

---

Entry 3:
Starting from a DFT-relaxed cell (GGA-PBE, Alexandria), the powder X-ray diffraction pattern of RbCaVSe4 was calculated for Cu Kα (λ = 1.5418 Å).

Peak list (10 most intense, 2θ from 10° to 90°, in order of falling intensity)
2θ = 28.70°, I = 100; 2θ = 28.59°, I = 96; 2θ = 32.39°, I = 71; 2θ = 30.28°, I = 58; 2θ = 27.49°, I = 53; 2θ = 31.30°, I = 48; 2θ = 32.08°, I = 45; 2θ = 37.72°, I = 40; 2θ = 51.43°, I = 32; 2θ = 25.06°, I = 29

Crystal structure
Cell: 6.7749 7.1066 9.4920 Å, 90.00 108.26 90.00°
Positions (direct):
Rb: 0.2364 0.2500 0.4348
Rb: 0.7637 0.7500 0.5652
Ca: 0.2751 0.2500 0.9559
Ca: 0.7249 0.7500 0.0441
V: 0.2882 0.7500 0.1737
V: 0.7118 0.2500 0.8263
Se: 0.0869 0.7500 0.3274
Se: 0.0923 0.7500 0.9318
Se: 0.4895 0.5046 0.7828
Se: 0.4895 0.9954 0.7828
Se: 0.5105 0.0046 0.2172
Se: 0.5105 0.4954 0.2172
Se: 0.9077 0.2500 0.0682
Se: 0.9131 0.2500 0.6726

---

Entry 4:
Starting from a DFT-relaxed cell (GGA-PBE, Alexandria), the powder X-ray diffraction pattern of Rb2CaZn2Se4 was calculated for Cu Kα (λ = 1.5418 Å).

Peak list (10 most intense, 2θ from 10° to 90°, in order of falling intensity)
2θ = 30.54°, I = 100; 2θ = 32.16°, I = 62; 2θ = 26.98°, I = 60; 2θ = 25.72°, I = 57; 2θ = 49.59°, I = 44; 2θ = 27.60°, I = 43; 2θ = 43.10°, I = 42; 2θ = 29.38°, I = 41; 2θ = 11.43°, I = 34; 2θ = 39.90°, I = 33

Crystal structure
Cell: 8.3113 8.3113 8.1911 Å, 108.44 108.44 29.25°
Positions (direct):
Rb: 0.1265 0.1265 0.0461
Rb: 0.8735 0.8735 0.9539
Ca: 0.0000 0.0000 0.5000
Zn: 0.3290 0.3290 0.5252
Zn: 0.6710 0.6710 0.4748
Se: 0.2059 0.2059 0.6659
Se: 0.4761 0.4761 0.7329
Se: 0.5239 0.5239 0.2671
Se: 0.7941 0.7941 0.3341

---

Entry 5:
Starting from a DFT-relaxed cell (GGA-PBE, Alexandria), the powder X-ray diffraction pattern of RbCaTi2Si was calculated for Cu Kα (λ = 1.5418 Å).

Peak list (10 most intense, 2θ from 10° to 90°, in order of falling intensity)
2θ = 37.73°, I = 100; 2θ = 18.61°, I = 96; 2θ = 51.70°, I = 76; 2θ = 16.82°, I = 74; 2θ = 34.02°, I = 68; 2θ = 25.18°, I = 50; 2θ = 65.75°, I = 35; 2θ = 31.50°, I = 34; 2θ = 54.42°, I = 32; 2θ = 41.57°, I = 29

Crystal structure
Cell: 4.7688 4.7688 5.2706 Å, 90.00 90.00 90.00°
Positions (direct):
Rb: 0.0000 0.0000 0.0000
Ca: 0.0000 0.0000 0.5000
Ti: 0.0000 0.5000 0.0000
Ti: 0.5000 0.0000 0.0000
Si: 0.5000 0.5000 0.5000

---

Entry 6:
Starting from a DFT-relaxed cell (GGA-PBE, Alexandria), the powder X-ray diffraction pattern of RbCa2Sn6 was calculated for Cu Kα (λ = 1.5418 Å).

Peak list (10 most intense, 2θ from 10° to 90°, in order of falling intensity)
2θ = 29.84°, I = 100; 2θ = 34.20°, I = 83; 2θ = 41.41°, I = 66; 2θ = 24.42°, I = 65; 2θ = 38.50°, I = 60; 2θ = 37.10°, I = 55; 2θ = 19.18°, I = 47; 2θ = 54.54°, I = 44; 2θ = 40.85°, I = 40; 2θ = 22.64°, I = 36

Crystal structure
Cell: 9.0575 9.0575 9.0575 Å, 148.96 128.61 61.26°
Positions (direct):
Rb: 0.0000 0.0000 0.0000
Ca: 0.3817 0.8817 0.5000
Ca: 0.6183 0.1183 0.5000
Sn: 0.0082 0.3068 0.7013
Sn: 0.3143 0.5000 0.8143
Sn: 0.3945 0.6932 0.7013
Sn: 0.6055 0.3068 0.2987
Sn: 0.6857 0.5000 0.1857
Sn: 0.9918 0.6932 0.2987

---

Entry 7:
Starting from a DFT-relaxed cell (GGA-PBE, Alexandria), the powder X-ray diffraction pattern of RbCaTe3 was calculated for Cu Kα (λ = 1.5418 Å).

Peak list (10 most intense, 2θ from 10° to 90°, in order of falling intensity)
2θ = 27.77°, I = 100; 2θ = 31.45°, I = 38; 2θ = 20.36°, I = 28; 2θ = 32.26°, I = 28; 2θ = 34.47°, I = 27; 2θ = 40.16°, I = 26; 2θ = 32.65°, I = 25; 2θ = 43.04°, I = 23; 2θ = 33.36°, I = 22; 2θ = 19.31°, I = 22

Crystal structure
Cell: 18.3882 6.4763 6.2326 Å, 90.00 90.00 90.00°
Positions (direct):
Rb: 0.2500 0.0000 0.0325
Rb: 0.2500 0.5000 0.4675
Rb: 0.7500 0.0000 0.9675
Rb: 0.7500 0.5000 0.5325
Ca: 0.0006 0.2500 0.7500
Ca: 0.4994 0.7500 0.7500
Ca: 0.5006 0.2500 0.2500
Ca: 0.9994 0.7500 0.2500
Te: 0.0801 0.2500 0.2500
Te: 0.1200 0.5726 0.9246
Te: 0.1200 0.9274 0.5754
Te: 0.3800 0.0726 0.5754
Te: 0.3800 0.4274 0.9246
Te: 0.4199 0.7500 0.2500
Te: 0.5801 0.2500 0.7500
Te: 0.6200 0.5726 0.0754
Te: 0.6200 0.9274 0.4246
Te: 0.8800 0.0726 0.4246
Te: 0.8800 0.4274 0.0754
Te: 0.9199 0.7500 0.7500

---

Entry 8:
Starting from a DFT-relaxed cell (GGA-PBE, Alexandria), the powder X-ray diffraction pattern of Ca7Re was calculated for Cu Kα (λ = 1.5418 Å).

Peak list (10 most intense, 2θ from 10° to 90°, in order of falling intensity)
2θ = 30.13°, I = 100; 2θ = 34.93°, I = 50; 2θ = 14.93°, I = 43; 2θ = 59.69°, I = 39; 2θ = 50.23°, I = 34; 2θ = 28.82°, I = 28; 2θ = 17.26°, I = 23; 2θ = 24.50°, I = 21; 2θ = 81.70°, I = 15; 2θ = 84.30°, I = 14

Crystal structure
Cell: 7.2655 7.2655 7.2655 Å, 60.00 60.00 60.00°
Positions (direct):
Ca: 0.0000 0.0000 0.0000
Ca: 0.0000 0.0000 0.5000
Ca: 0.0000 0.5000 0.0000
Ca: 0.0000 0.5000 0.5000
Ca: 0.5000 0.0000 0.0000
Ca: 0.5000 0.0000 0.5000
Ca: 0.5000 0.5000 0.0000
Re: 0.5000 0.5000 0.5000

---

Entry 9:
Starting from a DFT-relaxed cell (GGA-PBE, Alexandria), the powder X-ray diffraction pattern of CaReRh was calculated for Cu Kα (λ = 1.5418 Å).

Peak list (10 most intense, 2θ from 10° to 90°, in order of falling intensity)
2θ = 18.02°, I = 100; 2θ = 31.45°, I = 78; 2θ = 22.86°, I = 64; 2θ = 46.63°, I = 55; 2θ = 36.50°, I = 52; 2θ = 46.38°, I = 43; 2θ = 42.50°, I = 41; 2θ = 43.58°, I = 30; 2θ = 58.11°, I = 27; 2θ = 72.47°, I = 18

Crystal structure
Cell: 4.1537 5.4928 11.0991 Å, 90.00 90.00 90.00°
Positions (direct):
Ca: 0.0000 0.2500 0.1272
Ca: 0.0000 0.7500 0.8728
Ca: 0.5000 0.2500 0.3728
Ca: 0.5000 0.7500 0.6272
Re: 0.0000 0.2500 0.6892
Re: 0.0000 0.7500 0.3108
Re: 0.5000 0.2500 0.8108
Re: 0.5000 0.7500 0.1892
Rh: 0.0000 0.0000 0.5000
Rh: 0.0000 0.5000 0.5000
Rh: 0.5000 0.0000 0.0000
Rh: 0.5000 0.5000 0.0000

---

Entry 10:
Starting from a DFT-relaxed cell (GGA-PBE, Alexandria), the powder X-ray diffraction pattern of Ca2ReRu was calculated for Cu Kα (λ = 1.5418 Å).

Peak list (10 most intense, 2θ from 10° to 90°, in order of falling intensity)
2θ = 34.68°, I = 100; 2θ = 19.87°, I = 92; 2θ = 19.03°, I = 37; 2θ = 35.27°, I = 35; 2θ = 36.88°, I = 26; 2θ = 48.83°, I = 26; 2θ = 51.95°, I = 20; 2θ = 59.48°, I = 18; 2θ = 62.92°, I = 17; 2θ = 33.78°, I = 17

Crystal structure
Cell: 3.9248 5.0896 9.3273 Å, 90.00 90.00 90.00°
Positions (direct):
Ca: 0.0000 0.0000 0.0000
Ca: 0.0000 0.5000 0.2179
Ca: 0.5000 0.0000 0.7179
Ca: 0.5000 0.5000 0.5000
Re: 0.0000 0.0000 0.4233
Re: 0.5000 0.5000 0.9233
Ru: 0.0000 0.5000 0.7842
Ru: 0.5000 0.0000 0.2842

---

Entry 11:
Starting from a DFT-relaxed cell (GGA-PBE, Alexandria), the powder X-ray diffraction pattern of CaReSbTe2 was calculated for Cu Kα (λ = 1.5418 Å).

Peak list (10 most intense, 2θ from 10° to 90°, in order of falling intensity)
2θ = 15.98°, I = 100; 2θ = 32.28°, I = 96; 2θ = 48.76°, I = 60; 2θ = 17.55°, I = 42; 2θ = 28.82°, I = 38; 2θ = 35.53°, I = 37; 2θ = 59.70°, I = 37; 2θ = 46.30°, I = 35; 2θ = 36.22°, I = 27; 2θ = 36.98°, I = 27

Crystal structure
Cell: 5.5461 5.5461 5.0538 Å, 90.00 90.00 90.00°
Positions (direct):
Ca: 0.0000 0.0000 0.0000
Re: 0.5000 0.5000 0.5000
Sb: 0.5000 0.5000 0.0000
Te: 0.0000 0.5000 0.5000
Te: 0.5000 0.0000 0.5000

---

Entry 12:
Starting from a DFT-relaxed cell (GGA-PBE, Alexandria), the powder X-ray diffraction pattern of CaRe4Se7 was calculated for Cu Kα (λ = 1.5418 Å).

Peak list (10 most intense, 2θ from 10° to 90°, in order of falling intensity)
2θ = 10.53°, I = 100; 2θ = 43.07°, I = 35; 2θ = 36.05°, I = 32; 2θ = 15.26°, I = 30; 2θ = 18.20°, I = 27; 2θ = 44.09°, I = 26; 2θ = 40.33°, I = 25; 2θ = 38.07°, I = 24; 2θ = 21.40°, I = 23; 2θ = 18.96°, I = 18

Crystal structure
Cell: 5.0405 16.7959 6.3974 Å, 90.00 104.73 90.00°
Positions (direct):
Ca: 0.0000 0.0000 0.0000
Ca: 0.4596 0.5000 0.4976
Re: 0.6272 0.2379 0.9905
Re: 0.6272 0.7621 0.9905
Re: 0.6572 0.1411 0.3167
Re: 0.6572 0.8589 0.3167
Re: 0.9038 0.3551 0.7037
Re: 0.9038 0.6449 0.7037
Re: 0.9756 0.2578 0.3789
Re: 0.9756 0.7422 0.3789
Se: 0.0060 0.5000 0.8747
Se: 0.1230 0.2635 0.0206
Se: 0.1230 0.7365 0.0206
Se: 0.1701 0.1164 0.3959
Se: 0.1701 0.8836 0.3959
Se: 0.4888 0.3794 0.8670
Se: 0.4888 0.6206 0.8670
Se: 0.4918 0.0955 0.9347
Se: 0.4918 0.9045 0.9347
Se: 0.5545 0.2458 0.5724
Se: 0.5545 0.7542 0.5724
Se: 0.7026 0.0000 0.4967
Se: 0.9228 0.4071 0.3501
Se: 0.9228 0.5929 0.3501